Entry 1:
For YC2Se, a cell relaxed with GGA-PBE gives the theoretical powder diffraction line list in this record (Cu Kα (λ = 1.5418 Å)).

Principal peaks in the range 10 to 90 degrees two-theta, sorted by position:
2θ (°)	Rel. int.
31.15	44
32.68	100
44.63	24
56.41	40
59.28	20
64.96	7
68.49	10
73.80	8
74.64	9
81.27	7

Crystal structure
Cell lengths 5.5018, 5.5018, 5.5018 Å; angles 117.09, 117.09, 95.12 degrees
Atoms (fractional coordinates):
Y 0.0000 0.0000 0.0000
Y 0.7500 0.2500 0.5000
C 0.1857 0.1250 0.5607
C 0.3750 0.8143 0.9393
C 0.5643 0.6250 0.4393
C 0.8750 0.4357 0.0607
Se 0.2500 0.7500 0.5000
Se 0.5000 0.5000 0.0000



Entry 2:
For BiIrPb2, a cell relaxed with GGA-PBE gives the theoretical powder diffraction line list in this record (Cu Kα (λ = 1.5418 Å)).

Principal peaks in the range 10 to 90 degrees two-theta, sorted by position:
2θ (°)	Rel. int.
23.34	100
31.31	9
38.38	53
38.97	22
44.88	18
45.92	26
54.53	10
60.92	12
69.00	8
70.19	10

Crystal structure
Cell lengths 8.1692, 8.1692, 8.1692 Å; angles 132.83, 132.83, 68.92 degrees
Atoms (fractional coordinates):
Bi 0.0000 0.0000 0.0000
Bi 0.7500 0.2500 0.5000
Ir 0.2500 0.7500 0.5000
Ir 0.5000 0.5000 0.0000
Pb 0.1862 0.6250 0.0612
Pb 0.3750 0.4362 0.5612
Pb 0.5638 0.1250 0.9388
Pb 0.8750 0.8138 0.4388



Entry 3:
For Mn8Se, a cell relaxed with GGA-PBE gives the theoretical powder diffraction line list in this record (Cu Kα (λ = 1.5418 Å)).

Principal peaks in the range 10 to 90 degrees two-theta, sorted by position:
2θ (°)	Rel. int.
27.78	1
33.46	3
36.69	2
44.03	100
51.16	30
51.56	16
62.87	1
72.26	3
75.26	8
75.59	17

Crystal structure
Cell lengths 5.6423, 5.6423, 5.6423 Å; angles 95.66, 95.66, 143.38 degrees
Atoms (fractional coordinates):
Mn 0.0000 0.3452 0.3452
Mn 0.0000 0.6548 0.6548
Mn 0.3203 0.3203 0.6407
Mn 0.3203 0.6797 0.0000
Mn 0.3452 0.0000 0.3452
Mn 0.6548 0.0000 0.6548
Mn 0.6797 0.3203 0.0000
Mn 0.6797 0.6797 0.3593
Se 0.0000 0.0000 0.0000



Entry 4:
For ReCl3F3, a cell relaxed with GGA-PBE gives the theoretical powder diffraction line list in this record (Cu Kα (λ = 1.5418 Å)).

Principal peaks in the range 10 to 90 degrees two-theta, sorted by position:
2θ (°)	Rel. int.
17.10	100
17.70	86
24.70	20
29.84	16
30.20	44
35.84	12
39.11	10
39.96	25
46.57	11
47.30	19

Crystal structure
Cell lengths 6.3178, 6.3178, 6.3178 Å; angles 110.35, 110.35, 110.35 degrees
Atoms (fractional coordinates):
Re 0.0000 0.0000 0.0000
Cl 0.5714 0.8716 0.8716
Cl 0.8716 0.5714 0.8716
Cl 0.8716 0.8716 0.5714
F 0.0450 0.2854 0.2854
F 0.2854 0.0450 0.2854
F 0.2854 0.2854 0.0450



What did the second record say?
For BiIrPb2, a cell relaxed with GGA-PBE gives the theoretical powder diffraction line list in this record (Cu Kα (λ = 1.5418 Å)).

Principal peaks in the range 10 to 90 degrees two-theta, sorted by position:
2θ (°)	Rel. int.
23.34	100
31.31	9
38.38	53
38.97	22
44.88	18
45.92	26
54.53	10
60.92	12
69.00	8
70.19	10

Crystal structure
Cell lengths 8.1692, 8.1692, 8.1692 Å; angles 132.83, 132.83, 68.92 degrees
Atoms (fractional coordinates):
Bi 0.0000 0.0000 0.0000
Bi 0.7500 0.2500 0.5000
Ir 0.2500 0.7500 0.5000
Ir 0.5000 0.5000 0.0000
Pb 0.1862 0.6250 0.0612
Pb 0.3750 0.4362 0.5612
Pb 0.5638 0.1250 0.9388
Pb 0.8750 0.8138 0.4388